This entry pairs a crystal structure of Tb4Bi3Sb with its computed XRD peak list. Radiation: Cu Kα X-rays. Structure: a PBE-relaxed structure.

Structure:
```
Tb4Bi3Sb
1.0
6.306 0.000 0.000
0.000 6.306 0.000
0.000 0.000 6.306
Tb Bi Sb
4 3 1
Direct
0.000 0.000 0.000 Tb
0.000 0.500 0.500 Tb
0.500 0.000 0.500 Tb
0.500 0.500 0.000 Tb
0.000 0.000 0.500 Bi
0.000 0.500 0.000 Bi
0.500 0.000 0.000 Bi
0.500 0.500 0.500 Sb
```

Top 8 peaks for 5 to 70 degrees two-theta, by intensity:
| 2theta | I (rel.) | index |
| --- | --- | --- |
| 28.30 | 100 | 2 0 0 |
| 40.46 | 78 | 2 2 0 |
| 66.28 | 37 | 4 2 0 |
| 50.11 | 28 | 2 2 2 |
| 58.55 | 13 | 4 0 0 |
| 14.04 | 2 | 1 0 0 |
| 19.91 | 2 | 1 1 0 |
| 31.73 | 1 | 2 1 0 |